No. 1
Simulated powder diffractogram of LiH2IO for CuKα, from a structure optimized by DFT (GGA-PBE).
No peak broadening, texture or thermal motion is included.

Main lines, in order of rising 2θ (10° ≤ 2θ ≤ 80°):
two_theta	I/Imax	hkl
20.20	30	0 1 0
20.99	60	1 0 1
27.73	28	2 0 0
29.29	100	1 1 1
31.84	18	0 0 2
34.54	20	2 1 0
38.00	15	0 1 2
42.72	18	2 0 2
46.55	16	1 2 1
50.02	21	3 1 1

Atomic structure:
```
data_LiH2IO
_cell_length_a 6.4345
_cell_length_b 4.3971
_cell_length_c 5.6203
_cell_angle_alpha 90.00
_cell_angle_beta 90.00
_cell_angle_gamma 90.00
_space_group_name_H-M_alt 'P 1'
_space_group_IT_number 1
_space_group_name_Hall 'P 1'
loop_
_atom_site_label
_atom_site_type_symbol
_atom_site_fract_x
_atom_site_fract_y
_atom_site_fract_z
Li1 Li 0.0000 0.0000 0.0000
Li2 Li 0.5000 0.0000 0.0000
H1 H 0.2500 0.1755 0.3528
H2 H 0.2500 0.8245 0.3528
H3 H 0.7500 0.1755 0.6472
H4 H 0.7500 0.8245 0.6472
I1 I 0.2500 0.5000 0.7455
I2 I 0.7500 0.5000 0.2545
O1 O 0.2500 0.0000 0.2430
O2 O 0.7500 0.0000 0.7570
```

No. 2
Simulated powder diffractogram of MgH8I2O10 for CuKα, from a structure optimized by DFT (GGA-PBE).
No peak broadening, texture or thermal motion is included.

Main lines, in order of rising 2θ (10° ≤ 2θ ≤ 80°):
two_theta	I/Imax	hkl
10.65	16	1 0 0
16.99	100	1 1 0
21.01	23	1 1 1
21.14	44	0 0 2
25.23	31	2 1 0
25.72	44	1 1 -2
28.71	17	1 1 2
30.00	37	1 2 -1
32.34	25	3 0 0
41.85	19	0 3 1

Atomic structure:
```
data_MgH8I2O10
_cell_length_a 8.4354
_cell_length_b 6.7016
_cell_length_c 8.5382
_cell_angle_alpha 90.00
_cell_angle_beta 100.09
_cell_angle_gamma 90.00
_space_group_name_H-M_alt 'P 1'
_space_group_IT_number 1
_space_group_name_Hall 'P 1'
loop_
_atom_site_label
_atom_site_type_symbol
_atom_site_fract_x
_atom_site_fract_y
_atom_site_fract_z
Mg1 Mg 0.0000 0.0000 0.0000
Mg2 Mg 0.0000 0.5000 0.5000
H1 H 0.0103 0.1181 0.3137
H2 H 0.0103 0.3819 0.8137
H3 H 0.1513 0.0012 0.7564
H4 H 0.1513 0.4988 0.2564
H5 H 0.2636 0.6179 0.7222
H6 H 0.2636 0.8821 0.2222
H7 H 0.2716 0.7269 0.5559
H8 H 0.2716 0.7731 0.0559
H9 H 0.7284 0.2269 0.9441
H10 H 0.7284 0.2731 0.4441
H11 H 0.7364 0.1179 0.7778
H12 H 0.7364 0.3821 0.2778
H13 H 0.8487 0.5012 0.7436
H14 H 0.8487 0.9988 0.2436
H15 H 0.9897 0.6181 0.1863
H16 H 0.9897 0.8819 0.6863
I1 I 0.3366 0.1774 0.5319
I2 I 0.3366 0.3226 0.0319
I3 I 0.6634 0.6774 0.9681
I4 I 0.6634 0.8226 0.4681
O1 O 0.0594 0.5723 0.2861
O2 O 0.0594 0.9277 0.7861
O3 O 0.1188 0.2225 0.4791
O4 O 0.1188 0.2775 0.9791
O5 O 0.2319 0.6066 0.6054
O6 O 0.2319 0.8934 0.1054
O7 O 0.3377 0.5743 0.9438
O8 O 0.3377 0.9257 0.4438
O9 O 0.3458 0.1139 0.7413
O10 O 0.3458 0.3861 0.2414
O11 O 0.6542 0.6139 0.7587
O12 O 0.6542 0.8861 0.2586
O13 O 0.6623 0.0743 0.5562
O14 O 0.6623 0.4257 0.0562
O15 O 0.7681 0.1066 0.8946
O16 O 0.7681 0.3934 0.3946
O17 O 0.8812 0.7225 0.0209
O18 O 0.8812 0.7775 0.5209
O19 O 0.9406 0.0723 0.2139
O20 O 0.9406 0.4277 0.7139
```